Entry 1:
The following is a calculated powder diffraction line list of Be2B. It was derived from DFT lattice parameters and positions (PBE), using Cu Kα X-rays.
Intensities are scaled so that the largest is 100.

Peak list (5 most intense, 2θ = 10–80°, by intensity)
d 1.616, I 100
d 2.638, I 61
d 1.378, I 15
d 2.285, I 8
d 1.319, I 3

Structural model:
```
data_Be2B
_space_group_name_H-M_alt 'F m -3 m'
_space_group_IT_number 225
_space_group_name_Hall '-F 4 2 3'
_cell_length_a 4.570
_cell_length_b 4.570
_cell_length_c 4.570
_cell_angle_alpha 90.00
_cell_angle_beta 90.00
_cell_angle_gamma 90.00
loop_
_atom_site_label
_atom_site_type_symbol
_atom_site_fract_x
_atom_site_fract_y
_atom_site_fract_z
Be1 Be 0.250 0.250 0.250
B1 B 0.000 0.000 0.000
```

Entry 2:
The following is a calculated powder diffraction line list of BeB2. It was derived from DFT lattice parameters and positions (PBE), using Cu Kα X-rays.
Intensities are scaled so that the largest is 100.

Peak list (6 most intense, 2θ = 10–80°, by intensity)
d 1.903, I 100
d 1.465, I 46
d 2.877, I 39
d 1.439, I 15
d 1.305, I 9
d 2.537, I 3

Structural model:
```
data_BeB2
_space_group_name_H-M_alt 'P 6/m m m'
_space_group_IT_number 191
_space_group_name_Hall '-P 6 2'
_cell_length_a 2.9297
_cell_length_b 2.9297
_cell_length_c 2.8773
_cell_angle_alpha 90.00
_cell_angle_beta 90.00
_cell_angle_gamma 120.00
loop_
_atom_site_label
_atom_site_type_symbol
_atom_site_fract_x
_atom_site_fract_y
_atom_site_fract_z
Be1 Be 0.0000 0.0000 0.0000
B1 B 0.3333 0.6667 0.5000
```

Entry 3:
The following is a calculated powder diffraction line list of NaCaBe2B2O6F. It was derived from DFT lattice parameters and positions (PBE), using Cu Kα X-rays.
Intensities are scaled so that the largest is 100.

Peak list (8 most intense, 2θ = 10–80°, by intensity)
d 2.689, I 100
d 2.223, I 39
d 1.961, I 34
d 2.025, I 21
d 3.094, I 20
d 2.339, I 20
d 3.529, I 16
d 1.798, I 15

Structural model:
```
data_NaCaBe2B2O6F
_space_group_name_H-M_alt 'C 1 c 1'
_space_group_IT_number 9
_space_group_name_Hall 'C -2yc'
_cell_length_a 4.669
_cell_length_b 8.110
_cell_length_c 14.385
_cell_angle_alpha 90.00
_cell_angle_beta 90.05
_cell_angle_gamma 90.00
loop_
_atom_site_label
_atom_site_type_symbol
_atom_site_fract_x
_atom_site_fract_y
_atom_site_fract_z
Na1 Na 0.000 0.002 0.000
Ca1 Ca 0.011 0.008 0.748
Be1 Be 0.011 0.320 0.884
Be2 Be 0.027 0.339 0.110
B1 B 0.018 0.321 0.636
B2 B 0.496 0.153 0.858
O1 O 0.137 0.477 0.633
O2 O 0.188 0.183 0.624
O3 O 0.230 0.200 0.156
O4 O 0.287 0.330 0.370
O5 O 0.318 0.284 0.834
O6 O 0.375 0.003 0.364
F1 F 0.097 0.313 0.997
```

Entry 4:
The following is a calculated powder diffraction line list of CaBeB2O5. It was derived from DFT lattice parameters and positions (PBE), using Cu Kα X-rays.
Intensities are scaled so that the largest is 100.

Peak list (8 most intense, 2θ = 10–80°, by intensity)
d 2.838, I 100
d 2.151, I 77
d 2.055, I 62
d 2.587, I 51
d 1.800, I 47
d 2.812, I 46
d 2.852, I 43
d 2.956, I 25

Structural model:
```
data_CaBeB2O5
_space_group_name_H-M_alt 'P 1 21/c 1'
_space_group_IT_number 14
_space_group_name_Hall '-P 2ybc'
_cell_length_a 5.223
_cell_length_b 3.794
_cell_length_c 17.360
_cell_angle_alpha 90.00
_cell_angle_beta 99.69
_cell_angle_gamma 90.00
loop_
_atom_site_label
_atom_site_type_symbol
_atom_site_fract_x
_atom_site_fract_y
_atom_site_fract_z
Ca1 Ca 0.226 0.118 0.426
Be1 Be 0.106 0.235 0.211
B1 B 0.295 0.527 0.595
B2 B 0.403 0.748 0.787
O1 O 0.075 0.074 0.124
O2 O 0.160 0.553 0.782
O3 O 0.291 0.741 0.532
O4 O 0.372 0.022 0.724
O5 O 0.459 0.596 0.367
```